Computed X-ray powder pattern of Ca3Ni2N4 for λ = 1.5418 Å (Cu Kα), from a DFT-relaxed cell (GGA-PBE, the Materials Project).
Neutral-atom scattering factors, no anomalous dispersion.

Structure:
Cell: 6.693 6.693 5.416 Å, 91.66 91.66 77.14°
Fractional positions:
Ca1 0.096 0.904 0.750
Ca2 0.244 0.511 0.451
Ca3 0.489 0.756 0.049
Ca4 0.511 0.244 0.951
Ca5 0.756 0.489 0.549
Ca6 0.904 0.096 0.250
Ni1 0.077 0.335 0.912
Ni2 0.335 0.077 0.412
Ni3 0.665 0.923 0.588
Ni4 0.923 0.665 0.088
N1 0.093 0.234 0.581
N2 0.209 0.558 0.979
N3 0.234 0.093 0.081
N4 0.442 0.791 0.521
N5 0.558 0.209 0.479
N6 0.766 0.907 0.919
N7 0.791 0.442 0.021
N8 0.907 0.766 0.419

Main lines, most intense first (10 to 90 degrees two-theta):
| two_theta | Rel. int. |
| --- | --- |
| 32.37 | 100 |
| 31.87 | 62 |
| 44.66 | 41 |
| 35.62 | 38 |
| 44.54 | 37 |
| 16.95 | 35 |
| 43.37 | 34 |
| 47.44 | 25 |
| 33.10 | 19 |
| 21.08 | 16 |

***

Computed X-ray powder pattern of Zn3Cu6As4S12 for λ = 1.5418 Å (Cu Kα), from a DFT-relaxed cell (GGA-PBE, the Materials Project).
Neutral-atom scattering factors, no anomalous dispersion.

Structure:
Cell: 8.356 8.413 8.433 Å, 107.55 107.46 107.11°
Fractional positions:
Zn1 0.000 0.000 0.000
Zn2 0.157 0.485 0.372
Zn3 0.331 0.952 0.757
Cu1 0.094 0.238 0.690
Cu2 0.225 0.692 0.059
Cu3 0.386 0.181 0.466
Cu4 0.634 0.857 0.516
Cu5 0.691 0.083 0.211
Cu6 0.837 0.543 0.600
As1 0.492 0.406 0.148
As2 0.549 0.625 0.853
As3 0.770 0.345 0.911
As4 0.903 0.768 0.275
S1 0.055 0.700 0.514
S2 0.152 0.915 0.222
S3 0.220 0.149 0.907
S4 0.291 0.392 0.593
S5 0.378 0.608 0.275
S6 0.437 0.835 0.965
S7 0.545 0.077 0.655
S8 0.591 0.292 0.351
S9 0.742 0.759 0.737
S10 0.848 0.004 0.431
S11 0.903 0.228 0.118
S12 0.980 0.444 0.805

Main lines, most intense first (10 to 90 degrees two-theta):
| two_theta | Rel. int. |
| --- | --- |
| 29.06 | 100 |
| 29.17 | 34 |
| 48.27 | 25 |
| 48.39 | 25 |
| 48.60 | 24 |
| 57.28 | 17 |
| 57.42 | 16 |
| 33.61 | 13 |
| 57.75 | 8 |
| 33.91 | 6 |

***

Computed X-ray powder pattern of PrMnSi2 for λ = 1.5418 Å (Cu Kα), from a DFT-relaxed cell (GGA-PBE, the Materials Project).
Neutral-atom scattering factors, no anomalous dispersion.

Structure:
Cell: 9.053 9.053 3.989 Å, 90.00 90.00 153.91°
Fractional positions:
Pr1 0.102 0.898 0.750
Pr2 0.898 0.102 0.250
Mn1 0.250 0.750 0.250
Mn2 0.750 0.250 0.750
Si1 0.321 0.679 0.750
Si2 0.463 0.537 0.750
Si3 0.537 0.463 0.250
Si4 0.679 0.321 0.250

Main lines, most intense first (10 to 90 degrees two-theta):
| two_theta | Rel. int. |
| --- | --- |
| 34.94 | 100 |
| 33.56 | 42 |
| 24.49 | 30 |
| 44.32 | 20 |
| 22.33 | 20 |
| 45.48 | 19 |
| 57.69 | 18 |
| 38.02 | 17 |
| 30.41 | 16 |
| 47.10 | 15 |

***

Computed X-ray powder pattern of Co4CuNiS8 for λ = 1.5418 Å (Cu Kα), from a DFT-relaxed cell (GGA-PBE, the Materials Project).
Neutral-atom scattering factors, no anomalous dispersion.

Structure:
Cell: 6.644 6.644 6.644 Å, 60.00 60.00 60.00°
Fractional positions:
Co1 0.125 0.125 0.125
Co2 0.125 0.125 0.624
Co3 0.125 0.624 0.125
Co4 0.624 0.125 0.125
Cu1 0.500 0.500 0.500
Ni1 0.750 0.750 0.750
S1 0.346 0.885 0.885
S2 0.362 0.362 0.362
S3 0.362 0.362 0.913
S4 0.362 0.913 0.362
S5 0.885 0.346 0.885
S6 0.885 0.885 0.346
S7 0.885 0.885 0.885
S8 0.913 0.362 0.362

Main lines, most intense first (10 to 90 degrees two-theta):
| two_theta | Rel. int. |
| --- | --- |
| 31.58 | 100 |
| 55.31 | 80 |
| 50.47 | 48 |
| 38.32 | 44 |
| 26.84 | 34 |
| 78.14 | 16 |
| 16.34 | 14 |
| 47.40 | 12 |
| 65.10 | 11 |
| 82.05 | 11 |

***

Computed X-ray powder pattern of Eu3Ti for λ = 1.5418 Å (Cu Kα), from a DFT-relaxed cell (GGA-PBE, the Materials Project).
Neutral-atom scattering factors, no anomalous dispersion.

Structure:
Cell: 5.167 5.167 5.167 Å, 90.00 90.00 90.00°
Fractional positions:
Eu1 0.000 0.000 0.500
Eu2 0.000 0.500 0.000
Eu3 0.500 0.000 0.000
Ti1 0.500 0.500 0.500

Main lines, most intense first (10 to 90 degrees two-theta):
| two_theta | Rel. int. |
| --- | --- |
| 29.95 | 100 |
| 34.72 | 51 |
| 59.31 | 42 |
| 49.92 | 36 |
| 81.13 | 17 |
| 83.70 | 16 |
| 62.24 | 12 |
| 17.16 | 11 |
| 24.36 | 10 |
| 38.98 | 6 |

***

Computed X-ray powder pattern of Ca3InP3 for λ = 1.5418 Å (Cu Kα), from a DFT-relaxed cell (GGA-PBE, the Materials Project).
Neutral-atom scattering factors, no anomalous dispersion.

Structure:
Cell: 12.122 4.159 13.595 Å, 90.00 90.00 90.00°
Fractional positions:
Ca1 0.066 0.250 0.103
Ca2 0.153 0.750 0.504
Ca3 0.232 0.750 0.789
Ca4 0.268 0.250 0.289
Ca5 0.347 0.250 0.004
Ca6 0.434 0.750 0.603
Ca7 0.566 0.250 0.397
Ca8 0.653 0.750 0.996
Ca9 0.732 0.750 0.711
Ca10 0.768 0.250 0.211
Ca11 0.847 0.250 0.496
Ca12 0.934 0.750 0.897
In1 0.052 0.250 0.700
In2 0.448 0.750 0.200
In3 0.552 0.250 0.800
In4 0.948 0.750 0.300
P1 0.051 0.250 0.367
P2 0.105 0.250 0.887
P3 0.246 0.750 0.128
P4 0.254 0.250 0.628
P5 0.395 0.750 0.387
P6 0.449 0.750 0.867
P7 0.551 0.250 0.133
P8 0.605 0.250 0.613
P9 0.746 0.750 0.372
P10 0.754 0.250 0.872
P11 0.895 0.750 0.113
P12 0.949 0.750 0.633

Main lines, most intense first (10 to 90 degrees two-theta):
| two_theta | Rel. int. |
| --- | --- |
| 36.69 | 100 |
| 32.75 | 87 |
| 30.09 | 70 |
| 33.78 | 64 |
| 13.02 | 59 |
| 43.52 | 55 |
| 16.01 | 52 |
| 29.16 | 44 |
| 29.62 | 43 |
| 26.81 | 43 |

***

Computed X-ray powder pattern of Y4Ni13C4 for λ = 1.5418 Å (Cu Kα), from a DFT-relaxed cell (GGA-PBE, the Materials Project).
Neutral-atom scattering factors, no anomalous dispersion.

Structure:
Cell: 8.418 8.418 3.861 Å, 90.00 90.00 91.53°
Fractional positions:
Y1 0.188 0.812 0.000
Y2 0.349 0.349 0.000
Y3 0.651 0.651 0.000
Y4 0.812 0.188 0.000
Ni1 0.000 0.000 0.500
Ni2 0.000 0.500 0.000
Ni3 0.074 0.291 0.500
Ni4 0.124 0.124 0.000
Ni5 0.216 0.569 0.500
Ni6 0.291 0.074 0.500
Ni7 0.431 0.784 0.500
Ni8 0.500 0.000 0.000
Ni9 0.569 0.216 0.500
Ni10 0.709 0.926 0.500
Ni11 0.784 0.431 0.500
Ni12 0.876 0.876 0.000
Ni13 0.926 0.709 0.500
C1 0.000 0.500 0.500
C2 0.443 0.557 0.500
C3 0.500 0.000 0.500
C4 0.557 0.443 0.500

Main lines, most intense first (10 to 90 degrees two-theta):
| two_theta | Rel. int. |
| --- | --- |
| 41.44 | 100 |
| 37.86 | 54 |
| 33.06 | 53 |
| 47.07 | 50 |
| 44.09 | 33 |
| 40.97 | 27 |
| 44.68 | 24 |
| 33.43 | 21 |
| 10.51 | 21 |
| 33.96 | 19 |